Starting from a DFT-relaxed cell (GGA+U, Alexandria), the powder XRD pattern of BaSrFe4O8 was calculated for Cu Kα X-rays.
Kinematic intensities with the Lorentz-polarization factor, no thermal factor.

Most intense lines, 10° ≤ 2θ ≤ 90°, in order of rising 2θ:
| 2theta | intensity |
| --- | --- |
| 11.60 | 11 |
| 28.46 | 100 |
| 32.40 | 44 |
| 32.61 | 23 |
| 43.53 | 13 |
| 43.79 | 21 |
| 55.31 | 24 |
| 55.45 | 17 |
| 55.69 | 11 |
| 58.06 | 12 |

Structural model:
a = 10.453 Å, b = 10.453 Å, c = 5.493 Å
α = 90.00°, β = 90.00°, γ = 133.13°
Fractional positions:
Ba (0.116, 0.884, 0.500)
Ba (0.884, 0.116, 0.000)
Sr (0.371, 0.629, 0.974)
Sr (0.629, 0.371, 0.474)
Fe (0.004, 0.424, 0.470)
Fe (0.186, 0.274, 0.491)
Fe (0.274, 0.186, 0.991)
Fe (0.424, 0.004, 0.970)
Fe (0.576, 0.996, 0.470)
Fe (0.726, 0.814, 0.491)
Fe (0.814, 0.726, 0.991)
Fe (0.996, 0.576, 0.970)
O (0.013, 0.424, 0.817)
O (0.047, 0.953, 0.986)
O (0.176, 0.429, 0.332)
O (0.216, 0.784, 0.863)
O (0.252, 0.332, 0.826)
O (0.332, 0.252, 0.326)
O (0.424, 0.013, 0.317)
O (0.429, 0.176, 0.832)
O (0.571, 0.824, 0.332)
O (0.576, 0.987, 0.817)
O (0.668, 0.748, 0.826)
O (0.748, 0.668, 0.326)
O (0.784, 0.216, 0.363)
O (0.824, 0.571, 0.832)
O (0.953, 0.047, 0.486)
O (0.987, 0.576, 0.317)